# PmInAgPb
Calculated X-ray powder pattern, λ = 1.5418 Å (Cu Kα). Input: a crystal structure in Alexandria, relaxed with PBE.
Neutral-atom scattering factors, no anomalous dispersion.

Most intense lines, 10 to 80 degrees two-theta, by angle:
| d/Å | I_rel | (hkl) |
| --- | --- | --- |
| 4.844 | 4 | 0 0 1 |
| 2.695 | 100 | 1 1 1 |
| 2.422 | 19 | 0 0 2 |
| 2.293 | 32 | 2 0 0 |
| 1.665 | 23 | 2 0 2 |
| 1.621 | 11 | 2 2 0 |
| 1.445 | 15 | 1 1 3 |
| 1.390 | 13 | 1 3 1 |
| 1.388 | 13 | 3 1 1 |
| 1.347 | 12 | 2 2 2 |

Structural model:
```
data_PmInAgPb
_space_group_name_H-M_alt 'P m m m'
_space_group_IT_number 47
_cell_length_a 4.5818
_cell_length_b 4.5901
_cell_length_c 4.8442
_cell_angle_alpha 90.00
_cell_angle_beta 90.00
_cell_angle_gamma 90.00
loop_
_space_group_symop_operation_xyz
'x,y,z'
'-x,-y,-z'
'-x,-y,z'
'x,y,-z'
'x,-y,-z'
'-x,y,z'
'-x,y,-z'
'x,-y,z'
loop_
_atom_site_label
_atom_site_type_symbol
_atom_site_fract_x
_atom_site_fract_y
_atom_site_fract_z
Pm1 Pm 0.0000 0.0000 0.0000
In1 In 0.5000 0.0000 0.5000
Ag1 Ag 0.0000 0.5000 0.5000
Pb1 Pb 0.5000 0.5000 0.0000
```

=====

# In4AgPbS8
Calculated X-ray powder pattern, λ = 1.5418 Å (Cu Kα). Input: a crystal structure in Alexandria, relaxed with PBE.
Neutral-atom scattering factors, no anomalous dispersion.

Most intense lines, 10 to 80 degrees two-theta, by angle:
| d/Å | I_rel | (hkl) |
| --- | --- | --- |
| 6.409 | 17 | 1 0 1 |
| 3.925 | 24 | 1 1 0 |
| 3.347 | 100 | 1 1 3 |
| 3.205 | 12 | 2 0 2 |
| 2.775 | 27 | 0 2 4 |
| 2.136 | 44 | 0 3 3 |
| 1.962 | 59 | 2 2 0 |
| 1.693 | 13 | 3 1 5 |
| 1.445 | 23 | 4 1 3 |
| 1.282 | 13 | 5 0 5 |

Structural model:
```
data_In4AgPbS8
_space_group_name_H-M_alt 'R 3 m'
_space_group_IT_number 160
_space_group_name_Hall 'R 3 -2"'
_cell_length_a 7.8486
_cell_length_b 7.8486
_cell_length_c 19.2324
_cell_angle_alpha 90.00
_cell_angle_beta 90.00
_cell_angle_gamma 120.00
loop_
_atom_site_label
_atom_site_type_symbol
_atom_site_fract_x
_atom_site_fract_y
_atom_site_fract_z
In1 In 0.0000 0.0000 0.0000
In2 In 0.1743 0.3487 0.2091
Ag1 Ag 0.0000 0.0000 0.7514
Pb1 Pb 0.0000 0.0000 0.3834
S1 S 0.0000 0.0000 0.1349
S2 S 0.0000 0.0000 0.6195
S3 S 0.0102 0.5051 0.1350
S4 S 0.1746 0.3492 0.9531
```

=====

# InAg2PbSe4
Calculated X-ray powder pattern, λ = 1.5418 Å (Cu Kα). Input: a crystal structure in Alexandria, relaxed with PBE.
Neutral-atom scattering factors, no anomalous dispersion.

Most intense lines, 10 to 80 degrees two-theta, by angle:
| d/Å | I_rel | (hkl) |
| --- | --- | --- |
| 2.923 | 100 | 0 0 2 |
| 2.889 | 97 | 0 4 0 |
| 2.857 | 94 | 4 0 -2 |
| 2.055 | 71 | 0 4 2 |
| 2.050 | 37 | 4 0 0 |
| 2.036 | 33 | 4 0 -4 |
| 2.031 | 69 | 4 4 -2 |
| 1.672 | 38 | 4 4 0 |
| 1.664 | 34 | 4 4 -4 |
| 1.304 | 23 | 4 0 2 |

Structural model:
```
data_InAg2PbSe4
_space_group_name_H-M_alt 'C 1 2/c 1'
_space_group_IT_number 15
_cell_length_a 11.4283
_cell_length_b 11.5548
_cell_length_c 8.1467
_cell_angle_alpha 90.00
_cell_angle_beta 134.15
_cell_angle_gamma 90.00
loop_
_space_group_symop_operation_xyz
'x,y,z'
'-x,-y,-z'
'-x,y,-z+1/2'
'x,-y,z+1/2'
'x+1/2,y+1/2,z'
'-x+1/2,-y+1/2,-z'
'-x+1/2,y+1/2,-z+1/2'
'x+1/2,-y+1/2,z+1/2'
loop_
_atom_site_label
_atom_site_type_symbol
_atom_site_fract_x
_atom_site_fract_y
_atom_site_fract_z
In1 In 0.0000 0.0000 0.0000
Ag1 Ag 0.0000 0.5000 0.0000
Ag2 Ag 0.2500 0.2500 0.0000
Pb1 Pb 0.2500 0.2500 0.5000
Se1 Se 0.0029 0.2417 0.9868
Se2 Se 0.2488 0.0088 0.9753
```

=====

# InAgTe4Pb2
Calculated X-ray powder pattern, λ = 1.5418 Å (Cu Kα). Input: a crystal structure in Alexandria, relaxed with PBE.
Neutral-atom scattering factors, no anomalous dispersion.

Most intense lines, 10 to 80 degrees two-theta, by angle:
| d/Å | I_rel | (hkl) |
| --- | --- | --- |
| 3.153 | 100 | 2 2 0 |
| 3.135 | 49 | 0 0 4 |
| 2.240 | 19 | 0 4 0 |
| 2.222 | 93 | 2 2 4 |
| 1.823 | 20 | 0 4 4 |
| 1.811 | 19 | 4 0 4 |
| 1.576 | 12 | 4 4 0 |
| 1.408 | 17 | 4 4 4 |
| 1.404 | 24 | 2 2 8 |
| 1.290 | 13 | 2 6 4 |

Structural model:
```
data_InAgTe4Pb2
_space_group_name_H-M_alt 'I m m a'
_space_group_IT_number 74
_space_group_name_Hall '-I 2b 2'
_cell_length_a 8.8772
_cell_length_b 8.9595
_cell_length_c 12.5408
_cell_angle_alpha 90.00
_cell_angle_beta 90.00
_cell_angle_gamma 90.00
loop_
_atom_site_label
_atom_site_type_symbol
_atom_site_fract_x
_atom_site_fract_y
_atom_site_fract_z
In1 In 0.2500 0.2500 0.2500
Ag1 Ag 0.0000 0.0000 0.0000
Te1 Te 0.0000 0.0116 0.2407
Te2 Te 0.2320 0.2500 0.0074
Pb1 Pb 0.0000 0.0000 0.5000
Pb2 Pb 0.2500 0.2500 0.7500
```

=====

# TmInAgPb
Calculated X-ray powder pattern, λ = 1.5418 Å (Cu Kα). Input: a crystal structure in Alexandria, relaxed with PBE.
Neutral-atom scattering factors, no anomalous dispersion.

Most intense lines, 10 to 80 degrees two-theta, by angle:
| d/Å | I_rel | (hkl) |
| --- | --- | --- |
| 2.642 | 100 | 1 1 1 |
| 2.389 | 19 | 0 0 2 |
| 2.271 | 16 | 0 2 0 |
| 2.215 | 15 | 2 0 0 |
| 1.646 | 12 | 0 2 2 |
| 1.624 | 11 | 2 0 2 |
| 1.423 | 15 | 1 1 3 |
| 1.372 | 13 | 1 3 1 |
| 1.347 | 12 | 3 1 1 |
| 1.321 | 11 | 2 2 2 |

Structural model:
```
data_TmInAgPb
_space_group_name_H-M_alt 'P m m m'
_space_group_IT_number 47
_cell_length_a 4.4297
_cell_length_b 4.5424
_cell_length_c 4.7772
_cell_angle_alpha 90.00
_cell_angle_beta 90.00
_cell_angle_gamma 90.00
loop_
_space_group_symop_operation_xyz
'x,y,z'
'-x,-y,-z'
'-x,-y,z'
'x,y,-z'
'x,-y,-z'
'-x,y,z'
'-x,y,-z'
'x,-y,z'
loop_
_atom_site_label
_atom_site_type_symbol
_atom_site_fract_x
_atom_site_fract_y
_atom_site_fract_z
Tm1 Tm 0.0000 0.0000 0.0000
In1 In 0.5000 0.0000 0.5000
Ag1 Ag 0.0000 0.5000 0.5000
Pb1 Pb 0.5000 0.5000 0.0000
```

=====

# In2Ag2Pd3
Calculated X-ray powder pattern, λ = 1.5418 Å (Cu Kα). Input: a crystal structure in Alexandria, relaxed with PBE.
Neutral-atom scattering factors, no anomalous dispersion.

Most intense lines, 10 to 80 degrees two-theta, by angle:
| d/Å | I_rel | (hkl) |
| --- | --- | --- |
| 2.418 | 96 | -1 1 2 |
| 2.408 | 96 | 1 0 2 |
| 2.371 | 100 | 1 1 -1 |
| 2.358 | 99 | 1 -2 1 |
| 2.153 | 65 | 0 1 -3 |
| 2.106 | 71 | 2 -1 0 |
| 1.961 | 53 | 0 2 1 |
| 1.435 | 37 | 2 1 1 |
| 1.269 | 22 | -3 2 2 |
| 1.209 | 23 | 1 2 3 |

Structural model:
```
data_In2Ag2Pd3
_space_group_name_H-M_alt 'P -1'
_space_group_IT_number 2
_cell_length_a 4.2113
_cell_length_b 4.8866
_cell_length_c 6.8086
_cell_angle_alpha 99.47
_cell_angle_beta 90.39
_cell_angle_gamma 115.27
loop_
_space_group_symop_operation_xyz
'x,y,z'
'-x,-y,-z'
loop_
_atom_site_label
_atom_site_type_symbol
_atom_site_fract_x
_atom_site_fract_y
_atom_site_fract_z
In1 In 0.0767 0.1553 0.2536
Ag1 Ag 0.3582 0.7180 0.0793
Pd1 Pd 0.2203 0.4401 0.6558
Pd2 Pd 0.5000 0.0000 0.5000
```